# 1
Structure and computed powder X-ray diffraction pattern of KGaP2H2 (a cell relaxed with PBE; λ = 1.5418 Å (Cu Kα)).
Peak positions follow from Bragg's law for the DFT cell and can differ from measured ones.

Largest 10 diffraction maxima, in order of falling intensity, 2θ = 10–80°:
two_theta	intensity	hkl
25.06	100	2 1 1
14.89	69	2 0 0
36.37	35	1 2 1
28.96	34	1 1 2
40.85	22	3 0 3
32.11	21	4 0 1
57.99	20	6 2 0
40.74	19	0 2 2
55.22	18	2 3 1
22.29	17	0 0 2

Atomic structure:
```
KGaP2H2
1.0
11.9017 0.0000 0.0000
0.0000 5.3249 0.0000
0.0000 0.0000 7.9783
K Ga P H
4 4 8 8
Direct
0.1936 0.2500 0.2344
0.3064 0.7500 0.7344
0.6936 0.2500 0.2656
0.8064 0.7500 0.7656
0.0067 0.2500 0.6901
0.4933 0.7500 0.1900
0.5067 0.2500 0.8099
0.9933 0.7500 0.3100
0.0681 0.5356 0.9081
0.0681 0.9644 0.9081
0.4319 0.0356 0.4081
0.4319 0.4644 0.4081
0.5681 0.5356 0.5919
0.5681 0.9644 0.5919
0.9319 0.0356 0.0919
0.9319 0.4644 0.0919
0.0990 0.2500 0.5477
0.1227 0.7500 0.3625
0.3773 0.2500 0.8625
0.4010 0.7500 0.0477
0.5990 0.2500 0.9523
0.6227 0.7500 0.1375
0.8773 0.2500 0.6375
0.9010 0.7500 0.4523
```

# 2
Structure and computed powder X-ray diffraction pattern of LiZr2S4 (a cell relaxed with PBE; λ = 1.5418 Å (Cu Kα)).
Peak positions follow from Bragg's law for the DFT cell and can differ from measured ones.

Largest 10 diffraction maxima, in order of falling intensity, 2θ = 10–80°:
two_theta	intensity	hkl
14.14	100	0 0 1
34.21	68	1 1 1
28.73	50	2 0 -1
34.38	33	2 0 -2
50.15	32	0 2 0
48.38	24	1 1 -3
62.14	16	4 0 0
37.28	15	1 1 -2
52.32	13	3 1 0
48.21	12	2 0 2

Atomic structure:
```
LiZr2S4
1.0
6.2946 0.0000 0.0000
0.0000 3.6425 0.0000
-2.0643 0.0000 6.2646
Li Zr S
1 2 4
Direct
0.0000 0.0000 0.0000
0.0000 0.5000 0.5000
0.5000 0.0000 0.5000
0.2469 0.0000 0.7413
0.2528 0.5000 0.2542
0.7472 0.5000 0.7458
0.7531 0.0000 0.2587
```